For ZnCoO2, a crystal structure in the Materials Project, relaxed with PBE+U gives the computed XRD peak list in this record (Cu Ka).
Intensities are scaled so that the largest is 100.

Structural model:
Cell: 3.051 8.017 8.219 Å, 94.32 96.33 91.60°
Fractional positions:
Zn: 0.144 0.414 0.261
Zn: 0.270 0.246 0.889
Zn: 0.730 0.754 0.111
Zn: 0.856 0.586 0.739
Co: 0.209 0.919 0.781
Co: 0.498 0.753 0.432
Co: 0.502 0.247 0.568
Co: 0.791 0.081 0.219
O: 0.038 0.751 0.580
O: 0.269 0.214 0.112
O: 0.302 0.898 0.245
O: 0.344 0.427 0.747
O: 0.656 0.573 0.253
O: 0.698 0.102 0.755
O: 0.731 0.786 0.888
O: 0.962 0.249 0.420

Largest 8 diffraction maxima, in order of rising 2θ, 2θ = 10–80°:
| Position (°2θ) | I/Imax |
| --- | --- |
| 21.83 | 37.9 |
| 22.26 | 26.9 |
| 32.63 | 50.0 |
| 33.98 | 100.0 |
| 34.60 | 25.6 |
| 34.86 | 28.5 |
| 36.31 | 27.7 |
| 37.92 | 34.5 |


For ZnCo2O4, a crystal structure in the Materials Project, relaxed with PBE+U gives the computed XRD peak list in this record (Cu Ka).
Intensities are scaled so that the largest is 100.

Structural model:
Cell: 5.862 5.862 14.246 Å, 90.29 90.29 59.38°
Fractional positions:
Zn: 0.000 0.000 0.000
Zn: 0.334 0.334 0.333
Zn: 0.500 0.500 0.499
Zn: 0.507 0.507 0.125
Zn: 0.667 0.667 0.667
Zn: 0.833 0.833 0.835
Co: 0.002 0.496 0.002
Co: 0.162 0.162 0.544
Co: 0.167 0.167 0.166
Co: 0.168 0.667 0.667
Co: 0.171 0.171 0.789
Co: 0.333 0.836 0.332
Co: 0.495 0.495 0.879
Co: 0.496 0.002 0.002
Co: 0.667 0.168 0.667
Co: 0.828 0.828 0.208
Co: 0.836 0.333 0.332
Co: 0.838 0.838 0.456
O: 0.009 0.518 0.744
O: 0.016 0.016 0.252
O: 0.150 0.657 0.925
O: 0.159 0.159 0.408
O: 0.178 0.178 0.924
O: 0.182 0.680 0.409
O: 0.315 0.315 0.080
O: 0.325 0.816 0.590
O: 0.326 0.874 0.082
O: 0.340 0.340 0.593
O: 0.469 0.998 0.249
O: 0.489 0.489 0.743
O: 0.509 0.509 0.263
O: 0.518 0.009 0.744
O: 0.657 0.150 0.925
O: 0.662 0.662 0.406
O: 0.672 0.672 0.929
O: 0.680 0.182 0.409
O: 0.816 0.325 0.590
O: 0.820 0.820 0.076
O: 0.845 0.845 0.591
O: 0.874 0.326 0.082
O: 0.994 0.994 0.741
O: 0.998 0.469 0.249

Largest 8 diffraction maxima, in order of rising 2θ, 2θ = 10–80°:
| Position (°2θ) | I/Imax |
| --- | --- |
| 30.70 | 39.9 |
| 35.93 | 53.2 |
| 36.08 | 80.7 |
| 36.19 | 47.6 |
| 36.26 | 100.0 |
| 44.05 | 39.6 |
| 63.49 | 43.6 |
| 63.91 | 43.3 |


For ZnCo4O10, a crystal structure in the Materials Project, relaxed with PBE+U gives the computed XRD peak list in this record (Cu Ka).
Intensities are scaled so that the largest is 100.

Structural model:
Cell: 7.603 7.603 4.528 Å, 90.09 90.09 141.32°
Fractional positions:
Zn: 0.000 0.000 0.000
Co: 0.202 0.798 0.000
Co: 0.399 0.601 0.000
Co: 0.601 0.399 0.000
Co: 0.798 0.202 0.000
O: 0.066 0.280 0.793
O: 0.134 0.536 0.206
O: 0.280 0.066 0.793
O: 0.358 0.358 0.211
O: 0.464 0.866 0.794
O: 0.536 0.134 0.206
O: 0.642 0.642 0.789
O: 0.720 0.934 0.207
O: 0.866 0.464 0.794
O: 0.934 0.720 0.207

Largest 8 diffraction maxima, in order of rising 2θ, 2θ = 10–80°:
| Position (°2θ) | I/Imax |
| --- | --- |
| 19.60 | 100.0 |
| 35.66 | 9.3 |
| 36.02 | 16.9 |
| 41.11 | 19.7 |
| 41.31 | 43.5 |
| 54.68 | 25.3 |
| 54.84 | 8.7 |
| 64.30 | 10.2 |


For ZnCo2O4, a crystal structure in the Materials Project, relaxed with PBE+U gives the computed XRD peak list in this record (Cu Ka).
Intensities are scaled so that the largest is 100.

Structural model:
Cell: 5.864 10.311 5.017 Å, 90.00 90.00 90.00°
Fractional positions:
Zn: 0.250 0.250 0.015
Zn: 0.250 0.750 0.344
Zn: 0.750 0.250 0.656
Zn: 0.750 0.750 0.985
Co: 0.000 0.000 0.500
Co: 0.000 0.500 0.500
Co: 0.250 0.518 0.981
Co: 0.250 0.982 0.981
Co: 0.500 0.000 0.500
Co: 0.500 0.500 0.500
Co: 0.750 0.018 0.019
Co: 0.750 0.482 0.019
O: 0.002 0.115 0.833
O: 0.002 0.385 0.833
O: 0.250 0.096 0.311
O: 0.250 0.404 0.311
O: 0.250 0.609 0.653
O: 0.250 0.891 0.653
O: 0.498 0.115 0.833
O: 0.498 0.385 0.833
O: 0.502 0.615 0.167
O: 0.502 0.885 0.167
O: 0.750 0.109 0.347
O: 0.750 0.391 0.347
O: 0.750 0.596 0.689
O: 0.750 0.904 0.689
O: 0.998 0.615 0.167
O: 0.998 0.885 0.167

Largest 8 diffraction maxima, in order of rising 2θ, 2θ = 10–80°:
| Position (°2θ) | I/Imax |
| --- | --- |
| 17.20 | 81.3 |
| 24.90 | 75.6 |
| 35.17 | 90.4 |
| 35.46 | 65.7 |
| 39.67 | 83.5 |
| 50.53 | 100.0 |
| 50.78 | 52.5 |
| 64.10 | 53.3 |


For Zn2Co3O8, a crystal structure in the Materials Project, relaxed with PBE+U gives the computed XRD peak list in this record (Cu Ka).
Intensities are scaled so that the largest is 100.

Structural model:
Cell: 5.810 5.810 4.823 Å, 107.27 107.27 58.36°
Fractional positions:
Zn: 0.218 0.218 0.157
Zn: 0.782 0.782 0.843
Co: 0.244 0.756 0.500
Co: 0.500 0.500 0.000
Co: 0.756 0.244 0.500
O: 0.104 0.104 0.432
O: 0.164 0.614 0.100
O: 0.386 0.836 0.900
O: 0.396 0.396 0.585
O: 0.604 0.604 0.415
O: 0.614 0.164 0.100
O: 0.836 0.386 0.900
O: 0.896 0.896 0.568

Largest 8 diffraction maxima, in order of rising 2θ, 2θ = 10–80°:
| Position (°2θ) | I/Imax |
| --- | --- |
| 29.14 | 100.0 |
| 31.51 | 49.6 |
| 32.47 | 96.7 |
| 36.90 | 57.7 |
| 37.70 | 50.0 |
| 38.81 | 57.0 |
| 48.71 | 54.3 |
| 59.30 | 56.4 |


For Zn2Co3O8, a crystal structure in the Materials Project, relaxed with PBE+U gives the computed XRD peak list in this record (Cu Ka).
Intensities are scaled so that the largest is 100.

Structural model:
Cell: 5.832 5.832 9.471 Å, 90.00 90.00 120.00°
Fractional positions:
Zn: 0.333 0.667 0.000
Zn: 0.333 0.667 0.399
Zn: 0.667 0.333 0.500
Zn: 0.667 0.333 0.899
Co: 0.163 0.327 0.717
Co: 0.163 0.837 0.717
Co: 0.327 0.163 0.217
Co: 0.673 0.837 0.717
Co: 0.837 0.163 0.217
Co: 0.837 0.673 0.217
O: 0.000 0.000 0.329
O: 0.000 0.000 0.829
O: 0.037 0.519 0.837
O: 0.162 0.323 0.119
O: 0.162 0.838 0.119
O: 0.323 0.162 0.619
O: 0.333 0.667 0.607
O: 0.481 0.519 0.837
O: 0.481 0.963 0.837
O: 0.519 0.037 0.337
O: 0.519 0.481 0.337
O: 0.667 0.333 0.107
O: 0.677 0.838 0.119
O: 0.838 0.162 0.619
O: 0.838 0.677 0.619
O: 0.963 0.481 0.337

Largest 8 diffraction maxima, in order of rising 2θ, 2θ = 10–80°:
| Position (°2θ) | I/Imax |
| --- | --- |
| 18.74 | 33.7 |
| 25.79 | 73.5 |
| 33.47 | 79.1 |
| 36.17 | 100.0 |
| 36.83 | 74.8 |
| 56.32 | 45.6 |
| 61.16 | 64.8 |
| 63.84 | 50.6 |


For ZnCo2O4, a crystal structure in the Materials Project, relaxed with PBE+U gives the computed XRD peak list in this record (Cu Ka).
Intensities are scaled so that the largest is 100.

Structural model:
Cell: 5.968 5.968 5.968 Å, 60.00 60.00 60.00°
Fractional positions:
Zn: 0.125 0.125 0.125
Zn: 0.875 0.875 0.875
Co: 0.000 0.500 0.500
Co: 0.500 0.000 0.500
Co: 0.500 0.500 0.000
Co: 0.500 0.500 0.500
O: 0.260 0.260 0.260
O: 0.260 0.260 0.719
O: 0.260 0.719 0.260
O: 0.281 0.740 0.740
O: 0.719 0.260 0.260
O: 0.740 0.281 0.740
O: 0.740 0.740 0.281
O: 0.740 0.740 0.740

Largest 8 diffraction maxima, in order of rising 2θ, 2θ = 10–80°:
| Position (°2θ) | I/Imax |
| --- | --- |
| 29.95 | 33.5 |
| 35.27 | 100.0 |
| 36.89 | 8.7 |
| 42.86 | 14.8 |
| 53.17 | 12.0 |
| 56.67 | 36.2 |
| 62.22 | 43.1 |
| 73.59 | 10.4 |


For CsCrF4, a crystal structure in the Materials Project, relaxed with PBE+U gives the computed XRD peak list in this record (Cu Ka).
Intensities are scaled so that the largest is 100.

Structural model:
Cell: 9.840 9.840 3.964 Å, 90.00 90.00 120.00°
Fractional positions:
Cs: 0.000 0.572 0.000
Cs: 0.428 0.428 0.000
Cs: 0.572 0.000 0.000
Cr: 0.000 0.224 0.500
Cr: 0.224 0.000 0.500
Cr: 0.776 0.776 0.500
F: 0.000 0.219 0.000
F: 0.000 0.831 0.500
F: 0.160 0.438 0.500
F: 0.169 0.169 0.500
F: 0.219 0.000 0.000
F: 0.278 0.840 0.500
F: 0.438 0.160 0.500
F: 0.562 0.722 0.500
F: 0.722 0.562 0.500
F: 0.781 0.781 0.000
F: 0.831 0.000 0.500
F: 0.840 0.278 0.500

Largest 8 diffraction maxima, in order of rising 2θ, 2θ = 10–80°:
| Position (°2θ) | I/Imax |
| --- | --- |
| 18.03 | 67.4 |
| 20.85 | 40.8 |
| 24.77 | 38.8 |
| 27.70 | 97.4 |
| 28.92 | 100.0 |
| 30.81 | 98.7 |
| 38.07 | 67.0 |
| 44.64 | 48.5 |